This entry pairs a crystal structure of Ce3Ag4Au2 with its simulated X-ray powder pattern. Radiation: a wavelength of 1.5418 Å. Structure: a DFT-relaxed cell (GGA-PBE, Alexandria).
Neutral-atom scattering factors, no anomalous dispersion.

Peak list (8 most intense, 2θ = 10–80°, by intensity)
h k l	two_theta	I (rel.)
1 1 2	34.84	1000
0 2 0	36.70	985
4 2 -1	51.52	270
1 3 2	64.94	211
4 2 2	69.61	190
3 3 -3	66.13	114
7 1 -4	64.79	102
7 1 -1	69.46	95

Structural model:
Unit cell a=10.699 b=4.892 c=9.084 alpha=90.00 beta=121.80 gamma=90.00
Space group C2/m (No. 12)
Unique sites:
Ce (0.000, 0.000, 0.000) x2
Ce (0.172, 0.500, 0.660) x4
Ag (0.044, 0.000, 0.381) x4
Ag (0.222, 0.500, 0.054) x4
Au (0.104, 0.500, 0.272) x4